No. 1
Calculated powder X-ray diffraction pattern
Compound: LaSmCl
Radiation: Cu Kα X-rays
Structure: DFT lattice parameters and positions (GGA-PBE)

The 10 most intense peaks (15° ≤ 2θ ≤ 90°), by intensity:
2θ/deg	intensity
27.84	100
28.05	97
30.05	88
31.00	54
31.13	52
26.29	45
26.05	40
40.35	35
40.19	30
54.01	22

Crystal structure
```
LaSmCl
1.0
9.577 -2.974 0.000
9.577 2.974 0.000
-9.490 0.000 9.684
La Sm Cl
6 6 6
direct
0.003 0.997 0.500
0.179 0.215 0.476
0.215 0.179 0.976
0.674 0.720 0.251
0.720 0.674 0.751
0.997 0.003 0.000
0.391 0.410 0.491
0.410 0.391 0.991
0.499 0.503 0.333
0.503 0.499 0.833
0.889 0.911 0.642
0.911 0.889 0.142
0.091 0.583 0.752
0.169 0.225 0.261
0.225 0.169 0.761
0.583 0.091 0.252
0.673 0.718 0.466
0.718 0.673 0.966
```


No. 2
Calculated powder X-ray diffraction pattern
Compound: La4SnCl4
Radiation: Cu Kα X-rays
Structure: DFT lattice parameters and positions (GGA-PBE)

The 10 most intense peaks (15° ≤ 2θ ≤ 90°), by intensity:
2θ/deg	intensity
29.67	100
43.01	71
25.84	58
30.42	48
17.74	42
53.12	37
42.45	37
78.06	22
37.33	20
32.05	20

Crystal structure
```
La4SnCl4
1.0
-4.761 4.761 2.938
4.761 -4.761 2.938
4.761 4.761 -2.938
La Sn Cl
4 1 4
direct
0.098 0.313 0.411
0.313 0.902 0.214
0.687 0.098 0.786
0.902 0.687 0.589
0.000 0.000 0.000
0.208 0.610 0.818
0.390 0.208 0.598
0.610 0.792 0.402
0.792 0.390 0.182
```


No. 3
Calculated powder X-ray diffraction pattern
Compound: Sr3La2Cl12
Radiation: Cu Kα X-rays
Structure: DFT lattice parameters and positions (GGA-PBE)

The 10 most intense peaks (15° ≤ 2θ ≤ 90°), by intensity:
2θ/deg	intensity
36.18	100
21.90	47
22.01	47
36.48	21
42.55	16
42.79	16
42.96	15
52.36	12
65.12	12
65.47	11

Crystal structure
```
Sr3La2Cl12
1.0
4.960 -7.060 0.000
4.960 7.060 0.000
-4.957 0.000 14.773
Sr La Cl
6 4 24
direct
0.125 0.875 0.750
0.210 0.460 0.920
0.460 0.210 0.420
0.540 0.790 0.580
0.790 0.540 0.080
0.875 0.125 0.250
0.046 0.297 0.594
0.297 0.046 0.094
0.703 0.954 0.906
0.954 0.703 0.406
0.021 0.508 0.750
0.072 0.081 0.422
0.081 0.072 0.922
0.149 0.660 0.578
0.161 0.686 0.077
0.228 0.242 0.750
0.242 0.228 0.250
0.314 0.839 0.423
0.340 0.851 0.922
0.390 0.417 0.577
0.417 0.390 0.077
0.492 0.979 0.750
0.508 0.021 0.250
0.583 0.610 0.923
0.610 0.583 0.423
0.660 0.149 0.078
0.686 0.161 0.577
0.758 0.772 0.750
0.772 0.758 0.250
0.839 0.314 0.923
0.851 0.340 0.422
0.919 0.928 0.078
0.928 0.919 0.578
0.979 0.492 0.250
```


No. 4
Calculated powder X-ray diffraction pattern
Compound: Sr5La2Cl16
Radiation: Cu Kα X-rays
Structure: DFT lattice parameters and positions (GGA-PBE)

The 10 most intense peaks (15° ≤ 2θ ≤ 90°), by intensity:
2θ/deg	intensity
21.57	100
35.25	92
21.95	55
43.21	39
39.95	33
26.07	31
40.16	27
39.27	24
17.60	24
21.77	19

Crystal structure
```
Sr5La2Cl16
1.0
4.891 -7.633 0.000
4.891 7.633 0.000
0.000 0.000 19.112
Sr La Cl
10 4 32
direct
0.250 0.250 0.103
0.250 0.250 0.603
0.250 0.750 0.250
0.250 0.750 0.529
0.250 0.750 0.971
0.750 0.250 0.029
0.750 0.250 0.471
0.750 0.250 0.750
0.750 0.750 0.397
0.750 0.750 0.897
0.250 0.250 0.360
0.250 0.250 0.860
0.750 0.750 0.140
0.750 0.750 0.640
0.014 0.618 0.414
0.037 0.195 0.970
0.078 0.286 0.746
0.092 0.884 0.638
0.116 0.908 0.862
0.118 0.514 0.086
0.195 0.037 0.470
0.214 0.422 0.246
0.286 0.078 0.246
0.305 0.463 0.470
0.382 0.986 0.086
0.384 0.592 0.862
0.408 0.616 0.638
0.422 0.214 0.746
0.463 0.305 0.970
0.486 0.882 0.414
0.514 0.118 0.586
0.537 0.695 0.030
0.578 0.786 0.254
0.592 0.384 0.362
0.616 0.408 0.138
0.618 0.014 0.914
0.695 0.537 0.530
0.714 0.922 0.754
0.786 0.578 0.754
0.805 0.963 0.530
0.882 0.486 0.914
0.884 0.092 0.138
0.908 0.116 0.362
0.922 0.714 0.254
0.963 0.805 0.030
0.986 0.382 0.586
```


No. 5
Calculated powder X-ray diffraction pattern
Compound: La4TcTeCl2
Radiation: Cu Kα X-rays
Structure: DFT lattice parameters and positions (GGA-PBE)

The 10 most intense peaks (15° ≤ 2θ ≤ 90°), by intensity:
2θ/deg	intensity
28.65	100
41.94	22
39.96	20
39.41	13
42.46	12
52.02	11
59.31	9
68.58	7
25.33	7
31.17	6

Crystal structure
```
La4TcTeCl2
1.0
7.492 0.000 0.000
0.000 4.258 0.000
-2.404 0.000 7.624
La Tc Te Cl
4 1 1 2
direct
0.226 0.000 0.291
0.228 0.500 0.715
0.772 0.500 0.285
0.774 0.000 0.709
0.000 0.000 0.500
0.000 0.500 0.000
0.500 0.000 0.000
0.500 0.500 0.500
```


No. 6
Calculated powder X-ray diffraction pattern
Compound: La5Te4Cl
Radiation: Cu Kα X-rays
Structure: DFT lattice parameters and positions (GGA-PBE)

The 10 most intense peaks (15° ≤ 2θ ≤ 90°), by intensity:
2θ/deg	intensity
28.04	100
39.89	41
40.25	32
49.46	21
65.34	18
65.84	11
72.67	11
57.96	11
36.15	7
72.43	7

Crystal structure
```
La5Te4Cl
1.0
2.260 1.305 18.219
-2.260 1.305 18.219
0.000 -2.610 18.219
La Te Cl
5 4 1
direct
0.000 0.000 0.000
0.195 0.195 0.195
0.403 0.403 0.403
0.597 0.597 0.597
0.805 0.805 0.805
0.105 0.105 0.105
0.298 0.298 0.298
0.702 0.702 0.702
0.895 0.895 0.895
0.500 0.500 0.500
```


No. 7
Calculated powder X-ray diffraction pattern
Compound: La3TeCl3
Radiation: Cu Kα X-rays
Structure: DFT lattice parameters and positions (GGA-PBE)

The 10 most intense peaks (15° ≤ 2θ ≤ 90°), by intensity:
2θ/deg	intensity
29.75	100
25.52	43
42.99	38
42.15	36
35.78	24
52.44	18
69.45	14
77.64	13
70.66	13
61.78	12

Crystal structure
```
La3TeCl3
1.0
3.713 2.144 10.212
-3.713 2.144 10.212
0.000 -4.288 10.212
La Te Cl
6 2 6
direct
0.060 0.374 0.746
0.254 0.940 0.626
0.374 0.746 0.060
0.626 0.254 0.940
0.746 0.060 0.374
0.940 0.626 0.254
0.333 0.333 0.333
0.667 0.667 0.667
0.112 0.766 0.460
0.234 0.540 0.888
0.460 0.112 0.766
0.540 0.888 0.234
0.766 0.460 0.112
0.888 0.234 0.540
```


No. 8
Calculated powder X-ray diffraction pattern
Compound: La2TlCl
Radiation: Cu Kα X-rays
Structure: DFT lattice parameters and positions (GGA-PBE)

The 10 most intense peaks (15° ≤ 2θ ≤ 90°), by intensity:
2θ/deg	intensity
31.26	100
35.02	95
27.61	85
47.44	45
62.53	43
38.28	25
53.17	22
60.31	20
80.11	17
57.91	17

Crystal structure
```
La2TlCl
1.0
1.917 1.107 9.405
-1.917 1.107 9.405
0.000 -2.213 9.405
La Tl Cl
2 1 1
direct
0.000 0.000 0.000
0.155 0.155 0.155
0.578 0.578 0.578
0.744 0.744 0.744
```


No. 9
Calculated powder X-ray diffraction pattern
Compound: LaZnCl4
Radiation: Cu Kα X-rays
Structure: DFT lattice parameters and positions (GGA-PBE)

The 10 most intense peaks (15° ≤ 2θ ≤ 90°), by intensity:
2θ/deg	intensity
35.66	100
30.27	68
57.33	31
53.78	26
18.40	25
62.97	21
37.30	14
87.40	13
71.45	11
74.51	11

Crystal structure
```
LaZnCl4
1.0
0.000 4.175 4.175
4.175 0.000 4.175
4.175 4.175 0.000
La Zn Cl
1 1 4
direct
0.000 0.000 0.000
0.750 0.750 0.750
0.375 0.375 0.375
0.375 0.375 0.876
0.375 0.876 0.375
0.876 0.375 0.375
```


No. 10
Calculated powder X-ray diffraction pattern
Compound: LiCl3
Radiation: Cu Kα X-rays
Structure: DFT lattice parameters and positions (GGA-PBE)

The 10 most intense peaks (15° ≤ 2θ ≤ 90°), by intensity:
2θ/deg	intensity
25.51	100
21.57	45
27.95	29
22.20	29
29.10	21
38.68	17
45.73	16
42.72	15
46.04	15
47.76	14

Crystal structure
```
LiCl3
1.0
4.666 0.000 0.000
0.000 4.233 0.000
-0.822 0.000 12.361
Li Cl
2 6
direct
0.248 0.250 0.483
0.752 0.750 0.517
0.192 0.250 0.874
0.225 0.750 0.181
0.263 0.750 0.575
0.737 0.250 0.425
0.775 0.250 0.819
0.808 0.750 0.126
```


No. 11
Calculated powder X-ray diffraction pattern
Compound: LiCl
Radiation: Cu Kα X-rays
Structure: DFT lattice parameters and positions (GGA-PBE)

The 10 most intense peaks (15° ≤ 2θ ≤ 90°), by intensity:
2θ/deg	intensity
29.78	100
26.09	39
28.43	33
46.03	27
51.19	26
54.99	24
38.97	19
55.79	13
89.12	10
75.13	10

Crystal structure
```
LiCl
1.0
3.944 0.000 0.000
-1.972 3.415 0.000
0.000 0.000 6.279
Li Cl
2 2
direct
0.333 0.667 0.000
0.667 0.333 0.500
0.333 0.667 0.383
0.667 0.333 0.883
```


No. 12
Calculated powder X-ray diffraction pattern
Compound: LiCl
Radiation: Cu Kα X-rays
Structure: DFT lattice parameters and positions (GGA-PBE)

The 10 most intense peaks (15° ≤ 2θ ≤ 90°), by intensity:
2θ/deg	intensity
29.11	100
16.68	53
51.60	51
23.68	45
37.86	43
45.14	13
57.52	11
75.97	10
73.47	10
68.37	10

Crystal structure
```
LiCl
1.0
-3.758 3.758 3.758
3.758 -3.758 3.758
3.758 3.758 -3.758
Li Cl
4 4
direct
0.000 0.000 0.697
0.000 0.697 0.000
0.303 0.303 0.303
0.697 0.000 0.000
0.000 0.000 0.339
0.000 0.339 0.000
0.339 0.000 0.000
0.661 0.661 0.661
```